Structure and theoretical powder X-ray diffraction pattern of PaPt5 (DFT lattice parameters and positions (GGA-PBE); Cu Kα (weighted mean of Kα1 and Kα2)).
Peak positions follow from Bragg's law for the DFT cell and can differ from measured ones.

Top 12 peaks for 2θ = 10–90°, sorted by position:
2θ = 20.45°, intensity 3, (1 1 1)
2θ = 33.70°, intensity 29, (2 2 0)
2θ = 39.74°, intensity 100, (3 1 1)
2θ = 41.58°, intensity 38, (2 2 2)
2θ = 48.39°, intensity 4, (4 0 0)
2θ = 53.06°, intensity 1, (3 3 1)
2θ = 60.26°, intensity 11, (4 2 2)
2θ = 64.34°, intensity 33, (5 1 1)
2θ = 70.85°, intensity 28, (4 4 0)
2θ = 80.79°, intensity 5, (6 2 0)
2θ = 84.43°, intensity 12, (5 3 3)
2θ = 85.64°, intensity 15, (6 2 2)

Crystal structure
```
data_PaPt5
_cell_length_a 7.5234
_cell_length_b 7.5234
_cell_length_c 7.5234
_cell_angle_alpha 90.00
_cell_angle_beta 90.00
_cell_angle_gamma 90.00
_symmetry_space_group_name_H-M 'F -4 3 m'
_symmetry_Int_Tables_number 216
_symmetry_space_group_name_Hall 'F -4 2 3'
loop_
_atom_site_label
_atom_site_type_symbol
_atom_site_fract_x
_atom_site_fract_y
_atom_site_fract_z
_atom_site_occupancy
Pa1 Pa 0.0000 0.0000 0.0000 1
Pt1 Pt 0.1246 0.1246 0.6246 1
Pt2 Pt 0.2500 0.2500 0.2500 1
```

Structure and theoretical powder X-ray diffraction pattern of Ti6Be15Cu8 (DFT lattice parameters and positions (GGA-PBE); Cu Kα (weighted mean of Kα1 and Kα2)).
Peak positions follow from Bragg's law for the DFT cell and can differ from measured ones.

Top 12 peaks for 2θ = 10–90°, sorted by position:
2θ = 14.27°, intensity 34, (1 1 1)
2θ = 16.49°, intensity 14, (2 0 0)
2θ = 27.51°, intensity 43, (3 1 1)
2θ = 28.76°, intensity 19, (2 2 2)
2θ = 33.33°, intensity 26, (4 0 0)
2θ = 36.42°, intensity 70, (3 3 1)
2θ = 43.75°, intensity 72, (5 1 1)
2θ = 47.86°, intensity 100, (4 4 0)
2θ = 50.20°, intensity 21, (5 3 1)
2θ = 76.77°, intensity 17, (5 5 5)
2θ = 79.77°, intensity 15, (8 4 0)
2θ = 89.25°, intensity 16, (8 4 4)

Crystal structure
```
data_Ti6Be15Cu8
_cell_length_a 10.7524
_cell_length_b 10.7524
_cell_length_c 10.7524
_cell_angle_alpha 90.00
_cell_angle_beta 90.00
_cell_angle_gamma 90.00
_symmetry_space_group_name_H-M 'F m -3 m'
_symmetry_Int_Tables_number 225
_symmetry_space_group_name_Hall '-F 4 2 3'
loop_
_atom_site_label
_atom_site_type_symbol
_atom_site_fract_x
_atom_site_fract_y
_atom_site_fract_z
_atom_site_occupancy
Ti1 Ti 0.0000 0.0000 0.1970 1
Be1 Be 0.0000 0.0000 0.5000 1
Be2 Be 0.0000 0.2500 0.2500 1
Be3 Be 0.1735 0.1735 0.1735 1
Cu1 Cu 0.1220 0.1220 0.3780 1
```

Structure and theoretical powder X-ray diffraction pattern of Li3Ti2P3O12 (DFT lattice parameters and positions (GGA-PBE); Cu Kα (weighted mean of Kα1 and Kα2)).
Peak positions follow from Bragg's law for the DFT cell and can differ from measured ones.

Top 12 peaks for 2θ = 10–90°, sorted by position:
2θ = 14.14°, intensity 37, (0 2 0)
2θ = 15.60°, intensity 39, (1 1 -1)
2θ = 16.32°, intensity 100, (2 0 0)
2θ = 25.50°, intensity 34, (1 3 -1)
2θ = 25.61°, intensity 19, (3 1 0)
2θ = 28.84°, intensity 65, (1 1 -2)
2θ = 31.27°, intensity 20, (3 1 -2)
2θ = 32.35°, intensity 30, (0 4 1)
2θ = 33.01°, intensity 52, (2 4 0)
2θ = 36.05°, intensity 14, (4 2 0)
2θ = 43.18°, intensity 14, (3 1 -3)
2θ = 43.93°, intensity 16, (3 5 0)

Crystal structure
```
data_Li3Ti2P3O12
_cell_length_a 11.8580
_cell_length_b 12.5266
_cell_length_c 6.4521
_cell_angle_alpha 90.00
_cell_angle_beta 113.65
_cell_angle_gamma 90.00
_symmetry_space_group_name_H-M 'C 1 2/c 1'
_symmetry_Int_Tables_number 15
loop_
_symmetry_equiv_pos_as_xyz
'x,y,z'
'-x,-y,-z'
'-x,y,-z+1/2'
'x,-y,z+1/2'
'x+1/2,y+1/2,z'
'-x+1/2,-y+1/2,-z'
'-x+1/2,y+1/2,-z+1/2'
'x+1/2,-y+1/2,z+1/2'
loop_
_atom_site_label
_atom_site_type_symbol
_atom_site_fract_x
_atom_site_fract_y
_atom_site_fract_z
_atom_site_occupancy
Li1 Li 0.0000 0.0000 0.0000 1
Li2 Li 0.0000 0.2114 0.2500 1
Li3 Li 0.0000 0.4970 0.7500 1
Ti1 Ti 0.2200 0.3320 0.1226 1
P1 P 0.0000 0.2112 0.7500 1
P2 P 0.2392 0.4013 0.6166 1
O1 O 0.0436 0.2818 0.9658 1
O2 O 0.1013 0.1356 0.7401 1
O3 O 0.1237 0.0797 0.3110 1
O4 O 0.1593 0.4946 0.0824 1
O5 O 0.1779 0.3367 0.3939 1
O6 O 0.2223 0.3307 0.8067 1
```

Structure and theoretical powder X-ray diffraction pattern of Tb2Si3 (DFT lattice parameters and positions (GGA-PBE); Cu Kα (weighted mean of Kα1 and Kα2)).
Peak positions follow from Bragg's law for the DFT cell and can differ from measured ones.

Top 12 peaks for 2θ = 10–90°, sorted by position:
2θ = 23.03°, intensity 29, (0 1 1)
2θ = 23.71°, intensity 30, (1 0 1)
2θ = 25.86°, intensity 31, (0 0 4)
2θ = 29.51°, intensity 32, (0 1 3)
2θ = 30.06°, intensity 24, (1 0 3)
2θ = 34.58°, intensity 100, (1 1 2)
2θ = 39.64°, intensity 18, (0 1 5)
2θ = 40.06°, intensity 20, (1 0 5)
2θ = 45.07°, intensity 15, (0 2 0)
2θ = 46.58°, intensity 13, (2 0 0)
2θ = 51.49°, intensity 22, (1 1 6)
2θ = 61.86°, intensity 11, (1 2 5)

Crystal structure
```
data_Tb2Si3
_cell_length_a 3.8996
_cell_length_b 4.0228
_cell_length_c 13.7816
_cell_angle_alpha 90.00
_cell_angle_beta 90.00
_cell_angle_gamma 90.00
_symmetry_space_group_name_H-M 'I m m 2'
_symmetry_Int_Tables_number 44
loop_
_symmetry_equiv_pos_as_xyz
'x,y,z'
'-x,-y,z'
'-x,y,z'
'x,-y,z'
'x+1/2,y+1/2,z+1/2'
'-x+1/2,-y+1/2,z+1/2'
'-x+1/2,y+1/2,z+1/2'
'x+1/2,-y+1/2,z+1/2'
loop_
_atom_site_label
_atom_site_type_symbol
_atom_site_fract_x
_atom_site_fract_y
_atom_site_fract_z
_atom_site_occupancy
Tb1 Tb 0.0000 0.0000 0.0000 1
Tb2 Tb 0.0000 0.5000 0.2538 1
Si1 Si 0.0000 0.0000 0.4256 1
Si2 Si 0.0000 0.0000 0.5947 1
Si3 Si 0.0000 0.5000 0.8258 1
```

Structure and theoretical powder X-ray diffraction pattern of Ho3Er (DFT lattice parameters and positions (GGA-PBE); Cu Kα (weighted mean of Kα1 and Kα2)).
Peak positions follow from Bragg's law for the DFT cell and can differ from measured ones.

Top 12 peaks for 2θ = 10–90°, sorted by position:
2θ = 31.12°, intensity 100, (1 1 2)
2θ = 36.04°, intensity 34, (2 0 0)
2θ = 36.18°, intensity 17, (0 0 4)
2θ = 51.89°, intensity 12, (2 2 0)
2θ = 51.99°, intensity 24, (2 0 4)
2θ = 61.75°, intensity 29, (3 1 2)
2θ = 61.94°, intensity 14, (1 1 6)
2θ = 64.89°, intensity 12, (2 2 4)
2θ = 84.81°, intensity 6, (3 3 2)
2θ = 84.98°, intensity 12, (3 1 6)
2θ = 87.58°, intensity 11, (4 2 0)
2θ = 87.87°, intensity 6, (2 0 8)

Crystal structure
```
data_Ho3Er
_cell_length_a 4.9840
_cell_length_b 4.9840
_cell_length_c 9.9305
_cell_angle_alpha 90.00
_cell_angle_beta 90.00
_cell_angle_gamma 90.00
_symmetry_space_group_name_H-M 'I 4/m m m'
_symmetry_Int_Tables_number 139
_symmetry_space_group_name_Hall '-I 4 2'
loop_
_atom_site_label
_atom_site_type_symbol
_atom_site_fract_x
_atom_site_fract_y
_atom_site_fract_z
_atom_site_occupancy
Ho1 Ho 0.0000 0.0000 0.0000 1
Ho2 Ho 0.0000 0.5000 0.2500 1
Er1 Er 0.0000 0.0000 0.5000 1
```

Copy entry 4 word for word.
Structure and theoretical powder X-ray diffraction pattern of Tb2Si3 (DFT lattice parameters and positions (GGA-PBE); Cu Kα (weighted mean of Kα1 and Kα2)).
Peak positions follow from Bragg's law for the DFT cell and can differ from measured ones.

Top 12 peaks for 2θ = 10–90°, sorted by position:
2θ = 23.03°, intensity 29, (0 1 1)
2θ = 23.71°, intensity 30, (1 0 1)
2θ = 25.86°, intensity 31, (0 0 4)
2θ = 29.51°, intensity 32, (0 1 3)
2θ = 30.06°, intensity 24, (1 0 3)
2θ = 34.58°, intensity 100, (1 1 2)
2θ = 39.64°, intensity 18, (0 1 5)
2θ = 40.06°, intensity 20, (1 0 5)
2θ = 45.07°, intensity 15, (0 2 0)
2θ = 46.58°, intensity 13, (2 0 0)
2θ = 51.49°, intensity 22, (1 1 6)
2θ = 61.86°, intensity 11, (1 2 5)

Crystal structure
```
data_Tb2Si3
_cell_length_a 3.8996
_cell_length_b 4.0228
_cell_length_c 13.7816
_cell_angle_alpha 90.00
_cell_angle_beta 90.00
_cell_angle_gamma 90.00
_symmetry_space_group_name_H-M 'I m m 2'
_symmetry_Int_Tables_number 44
loop_
_symmetry_equiv_pos_as_xyz
'x,y,z'
'-x,-y,z'
'-x,y,z'
'x,-y,z'
'x+1/2,y+1/2,z+1/2'
'-x+1/2,-y+1/2,z+1/2'
'-x+1/2,y+1/2,z+1/2'
'x+1/2,-y+1/2,z+1/2'
loop_
_atom_site_label
_atom_site_type_symbol
_atom_site_fract_x
_atom_site_fract_y
_atom_site_fract_z
_atom_site_occupancy
Tb1 Tb 0.0000 0.0000 0.0000 1
Tb2 Tb 0.0000 0.5000 0.2538 1
Si1 Si 0.0000 0.0000 0.4256 1
Si2 Si 0.0000 0.0000 0.5947 1
Si3 Si 0.0000 0.5000 0.8258 1
```